Theoretical XRD peak list of BaSrHgSbAs for Cu Kα X-rays, from a DFT-relaxed cell (GGA-PBE, OQMD).
Lines closer than 0.1° are merged.

Structural model:
```
data_BaSrHgSbAs
_chemical_formula_sum 'Ba4 Sr4 Hg4 Sb4 As4'
_symmetry_space_group_name_H-M 'C m c 21'
_symmetry_Int_Tables_number 36
_cell_length_a 4.693
_cell_length_b 18.055
_cell_length_c 8.048
_cell_angle_alpha 90.00
_cell_angle_beta 90.00
_cell_angle_gamma 90.00
loop_
_symmetry_equiv_pos_as_xyz
'x,y,z'
'-x,-y,z+1/2'
'-x,y,z'
'x,-y,z+1/2'
'x+1/2,y+1/2,z'
'-x+1/2,-y+1/2,z+1/2'
'-x+1/2,y+1/2,z'
'x+1/2,-y+1/2,z+1/2'
loop_
_atom_site_label
_atom_site_type_symbol
_atom_site_fract_x
_atom_site_fract_y
_atom_site_fract_z
Ba1 Ba 0.000 0.030 0.000
Sr1 Sr 0.000 0.193 0.668
Hg1 Hg 0.000 0.400 0.857
Sb1 Sb 0.000 0.180 0.254
As1 As 0.000 0.434 0.206
```

Largest 10 diffraction maxima, sorted by position, 2θ from 5° to 70°:
- 2θ = 14.75°, I 75, hkl 0 2 1
- 2θ = 24.22°, I 29, hkl 0 2 2
- 2θ = 26.51°, I 71, hkl 1 3 1
- 2θ = 29.69°, I 65, hkl 0 4 2
- 2θ = 31.26°, I 100, hkl 1 5 0
- 2θ = 32.88°, I 66, hkl 1 3 2
- 2θ = 34.89°, I 32, hkl 0 2 3
- 2θ = 38.36°, I 44, hkl 2 0 0
- 2θ = 39.03°, I 30, hkl 0 4 3
- 2θ = 41.54°, I 52, hkl 0 8 1